# SmDyP2O8
Theoretical powder diffractogram, Cu Kα (weighted mean of Kα1 and Kα2). Input: DFT lattice parameters and positions (PBE).

Structural model:
```
SmDyP2O8
1.0
5.2655 0.0000 0.0000
-2.6328 4.5601 0.0000
0.0000 0.0000 7.0775
Sm Dy P O
1 1 2 8
Cartesian
0.0000 0.0000 0.0000
0.0000 0.0000 3.5387
0.0000 3.0401 5.6644
2.6328 1.5200 1.4130
0.0000 1.5793 5.1291
-1.2650 3.7704 5.1291
0.0000 3.0401 0.1124
1.3677 0.7897 1.9484
1.2650 3.7704 5.1291
2.6328 1.5200 6.9651
3.8978 0.7897 1.9484
2.6328 2.9808 1.9484
```

Top 6 peaks for 2θ = 10–90°, in order of rising 2θ:
d (Å), two_theta, I_rel
4.560, 19.47, 100
2.796, 32.01, 75
2.633, 34.05, 47
2.112, 42.81, 37
1.917, 47.43, 35
1.550, 59.67, 24

# Co15Ni2Pt2
Theoretical powder diffractogram, Cu Kα (weighted mean of Kα1 and Kα2). Input: DFT lattice parameters and positions (PBE).

Structural model:
```
Co15Ni2Pt2
1.0
4.0616 2.3449 4.1402
-4.0616 2.3449 4.1402
0.0000 -4.6899 4.1402
Co Ni Pt
15 2 2
Cartesian
-4.0616 0.0000 6.2103
-1.3256 -2.3939 4.1402
-2.0308 1.1725 2.0701
-2.7360 0.0489 4.1402
-1.9673 -1.1358 6.1302
1.3256 -2.3939 4.1402
-1.4104 2.3449 4.1402
0.0000 -2.2717 6.2904
-1.9673 1.1358 6.2904
2.0308 1.1725 2.0701
1.9673 -1.1358 6.1302
0.0000 2.2717 6.1302
2.7360 0.0489 4.1402
1.4104 2.3449 4.1402
1.9673 1.1358 6.2904
0.0000 0.0000 4.9134
0.0000 0.0000 7.5071
0.0000 0.0000 1.2792
0.0000 0.0000 11.1413
```

Top 6 peaks for 2θ = 10–90°, in order of rising 2θ:
d (Å), two_theta, I_rel
6.121, 14.47, 63
2.345, 38.39, 89
2.040, 44.40, 46
2.031, 44.63, 95
1.844, 49.42, 85
1.823, 50.03, 100

# Ba6Mg15Ga8
Theoretical powder diffractogram, Cu Kα (weighted mean of Kα1 and Kα2). Input: DFT lattice parameters and positions (PBE).

Structural model:
```
Ba6Mg15Ga8
1.0
0.0000 7.4813 7.4813
7.4813 0.0000 7.4813
7.4813 7.4813 0.0000
Ba Mg Ga
6 15 8
Cartesian
7.4813 7.4813 3.6847
7.4813 3.6847 7.4813
11.2779 7.4813 7.4813
3.6847 7.4813 7.4813
7.4813 11.2779 7.4813
7.4813 7.4813 11.2779
3.7407 3.7407 0.0000
3.7407 0.0000 3.7407
7.4813 3.7407 3.7407
2.6068 2.6068 2.6068
4.8745 4.8745 2.6068
4.8745 2.6068 4.8745
2.6068 4.8745 4.8745
0.0000 3.7407 3.7407
3.7407 7.4813 3.7407
3.7407 3.7407 7.4813
7.4813 7.4813 7.4813
12.3558 10.0882 10.0882
10.0882 12.3558 10.0882
10.0882 10.0882 12.3558
12.3558 12.3558 12.3558
9.5259 5.4367 5.4367
5.4367 5.4367 5.4367
9.5259 9.5259 5.4367
9.5259 5.4367 9.5259
5.4367 9.5259 5.4367
5.4367 5.4367 9.5259
9.5259 9.5259 9.5259
5.4367 9.5259 9.5259
```

Top 6 peaks for 2θ = 10–90°, in order of rising 2θ:
d (Å), two_theta, I_rel
4.319, 20.56, 42
3.346, 26.64, 21
3.054, 29.24, 13
2.645, 33.89, 100
2.256, 39.97, 15
1.527, 60.64, 30

# Pr12CdIn4N3
Theoretical powder diffractogram, Cu Kα (weighted mean of Kα1 and Kα2). Input: DFT lattice parameters and positions (PBE).

Structural model:
```
Pr12CdIn4N3
1.0
-5.2507 5.2507 5.2507
5.2507 -5.2507 5.2507
5.2507 5.2507 -5.2507
Pr Cd In N
12 1 4 3
Cartesian
2.9036 0.0000 0.0000
7.5978 0.0000 0.0000
5.2507 2.6253 0.0000
5.2507 0.0000 2.6253
0.0000 2.9036 0.0000
0.0000 0.0000 2.9036
2.6253 5.2507 0.0000
2.6253 0.0000 5.2507
0.0000 7.5978 0.0000
0.0000 0.0000 7.5978
0.0000 5.2507 2.6253
0.0000 2.6253 5.2507
0.0000 0.0000 0.0000
2.6253 2.6253 -2.6253
2.6253 -2.6253 2.6253
-2.6253 2.6253 2.6253
2.6253 2.6253 2.6253
5.2507 0.0000 0.0000
0.0000 5.2507 0.0000
0.0000 0.0000 5.2507
```

Top 6 peaks for 2θ = 10–90°, in order of rising 2θ:
d (Å), two_theta, I_rel
3.031, 29.46, 100
2.625, 34.15, 67
1.856, 49.07, 45
1.583, 58.28, 39
1.516, 61.14, 15
1.174, 82.08, 17

# Mg2In2Rh
Theoretical powder diffractogram, Cu Kα (weighted mean of Kα1 and Kα2). Input: DFT lattice parameters and positions (PBE).

Structural model:
```
Mg2In2Rh
1.0
-3.1122 6.1343 2.8783
3.1122 -6.1343 2.8783
3.1122 6.1343 -2.8783
Mg In Rh
4 4 2
Cartesian
1.0629 2.0389 0.0000
1.0629 -2.0389 2.8783
2.0493 8.1732 0.0000
2.0493 4.0953 2.8783
4.1805 1.1189 0.0000
1.0683 5.0154 0.0000
2.0439 1.1189 2.8783
-1.0683 5.0154 2.8783
0.0000 0.0000 1.4392
0.0000 0.0000 4.3175
```

Top 6 peaks for 2θ = 10–90°, in order of rising 2θ:
d (Å), two_theta, I_rel
6.134, 14.44, 100
3.480, 25.60, 73
2.672, 33.54, 34
2.555, 35.12, 51
2.482, 36.19, 51
2.275, 39.62, 39

# CePmTm4
Theoretical powder diffractogram, Cu Kα (weighted mean of Kα1 and Kα2). Input: DFT lattice parameters and positions (PBE).

Structural model:
```
CePmTm4
1.0
17.0389 0.0000 0.0000
0.0000 3.5382 0.0000
-0.7419 0.0000 6.1060
Ce Pm Tm
2 2 8
Cartesian
0.0000 0.0000 0.0000
8.5195 1.7691 0.0000
-0.3709 1.7691 3.0530
8.1485 0.0000 3.0530
2.1870 1.7691 5.4434
2.5805 0.0000 2.3593
5.1971 1.7691 3.7467
5.5906 0.0000 0.6626
10.7064 0.0000 5.4434
11.1000 1.7691 2.3593
13.7165 0.0000 3.7467
14.1101 1.7691 0.6626
```

Top 6 peaks for 2θ = 10–90°, in order of rising 2θ:
d (Å), two_theta, I_rel
3.048, 29.31, 34
2.819, 31.74, 51
2.763, 32.40, 100
2.627, 34.14, 91
1.774, 51.52, 27
1.501, 61.79, 31

# Cs2Ba2PuO6
Theoretical powder diffractogram, Cu Kα (weighted mean of Kα1 and Kα2). Input: DFT lattice parameters and positions (PBE).

Structural model:
```
Cs2Ba2PuO6
1.0
3.3638 -5.6517 0.0000
3.3638 5.6517 0.0000
-1.9129 0.0000 6.9948
Cs Ba Pu O
2 2 1 6
Cartesian
3.3638 3.7892 0.0000
3.3638 -3.7892 0.0000
2.4074 1.8399 3.4974
2.4074 -1.8399 3.4974
-0.9565 0.0000 3.4974
-0.0622 1.5434 4.6148
0.7573 0.0000 2.2842
-0.0622 -1.5434 4.6148
4.8769 1.5434 2.3800
4.0575 0.0000 4.7107
4.8769 -1.5434 2.3800
```

Top 6 peaks for 2θ = 10–90°, in order of rising 2θ:
d (Å), two_theta, I_rel
6.995, 12.66, 55
5.628, 15.75, 54
3.497, 25.47, 65
3.245, 27.49, 50
3.116, 28.65, 88
2.814, 31.80, 100

# LaPrReN4
Theoretical powder diffractogram, Cu Kα (weighted mean of Kα1 and Kα2). Input: DFT lattice parameters and positions (PBE).

Structural model:
```
LaPrReN4
1.0
3.9324 0.0000 0.0000
0.0000 3.9324 0.0000
0.0000 0.0000 12.7326
La Pr Re N
2 2 2 8
Cartesian
0.0000 0.0000 0.0000
1.9662 1.9662 6.3663
0.0000 0.0000 9.0167
1.9662 1.9662 2.6504
0.0000 0.0000 4.5109
1.9662 1.9662 10.8772
0.0000 0.0000 2.4034
0.0000 0.0000 6.5979
0.0000 1.9662 4.4979
0.0000 1.9662 10.8642
1.9662 0.0000 4.4979
1.9662 0.0000 10.8642
1.9662 1.9662 0.2316
1.9662 1.9662 8.7697
```

Top 6 peaks for 2θ = 10–90°, in order of rising 2θ:
d (Å), two_theta, I_rel
6.366, 13.91, 16
2.885, 31.00, 100
2.781, 32.19, 57
1.966, 46.17, 26
1.687, 54.39, 18
1.625, 56.65, 38

# PmDyPaPb
Theoretical powder diffractogram, Cu Kα (weighted mean of Kα1 and Kα2). Input: DFT lattice parameters and positions (PBE).

Structural model:
```
PmDyPaPb
1.0
7.6880 0.0000 0.0000
0.0000 7.6880 0.0000
0.0000 0.0000 7.6880
Pm Dy Pa Pb
4 4 4 4
Cartesian
0.0000 0.0000 0.0000
0.0000 3.8440 3.8440
3.8440 0.0000 3.8440
3.8440 3.8440 0.0000
0.0000 0.0000 3.8440
0.0000 3.8440 0.0000
3.8440 0.0000 0.0000
3.8440 3.8440 3.8440
1.9220 1.9220 5.7660
1.9220 5.7660 1.9220
5.7660 1.9220 1.9220
5.7660 5.7660 5.7660
1.9220 1.9220 1.9220
1.9220 5.7660 5.7660
5.7660 1.9220 5.7660
5.7660 5.7660 1.9220
```

Top 6 peaks for 2θ = 10–90°, in order of rising 2θ:
d (Å), two_theta, I_rel
2.718, 32.95, 100
1.922, 47.29, 19
1.569, 58.85, 39
1.359, 69.12, 12
1.216, 78.72, 17
1.110, 88.01, 4